Diffraction record for AcTl2V2O6. The powder XRD pattern is calculated, not measured: it uses a structure optimized by DFT (PBE+U) and Cu Kα (weighted mean of Kα1 and Kα2).
Lines closer than 0.1° are merged.

Cell and atoms:
```
data_AcTl2V2O6
_chemical_formula_sum 'Ac1 Tl2 V2 O6'
_space_group_name_H-M_alt 'P 1'
_space_group_IT_number 1
_cell_length_a 7.3763
_cell_length_b 7.3763
_cell_length_c 7.3763
_cell_angle_alpha 50.80
_cell_angle_beta 50.80
_cell_angle_gamma 50.80
loop_
_space_group_symop_operation_xyz
'x,y,z'
loop_
_atom_site_label
_atom_site_type_symbol
_atom_site_fract_x
_atom_site_fract_y
_atom_site_fract_z
Ac1 Ac 0.0000 0.0000 0.0000
Tl1 Tl 0.2038 0.2038 0.2038
Tl2 Tl 0.7962 0.7962 0.7962
V1 V 0.4234 0.4234 0.4234
V2 V 0.5766 0.5766 0.5766
O1 O 0.2576 0.2576 0.7380
O2 O 0.2576 0.7380 0.2576
O3 O 0.2620 0.7424 0.7424
O4 O 0.7380 0.2576 0.2576
O5 O 0.7424 0.2620 0.7424
O6 O 0.7424 0.7424 0.2620
```

Peak list (10 most intense, 2θ = 10–80°, in order of falling intensity)
- d 3.147, I 100
- d 3.164, I 98
- d 1.825, I 62
- d 2.231, I 39
- d 5.270, I 38
- d 3.613, I 27
- d 2.380, I 19
- d 1.414, I 18
- d 1.814, I 18
- d 1.582, I 18